Diffraction record for K3CrC3N3O4. The X-ray powder pattern is calculated, not measured: it uses a GGA+U-relaxed structure and λ = 1.5418 Å (Cu Kα).
Intensities are scaled so that the largest is 1000.

Principal peaks in the range 2θ from 15° to 90°, by angle:
- hkl 2 0 0, d 5.740, 2θ = 15.44°, I 735
- hkl 1 1 1, d 5.115, 2θ = 17.34°, I 533
- hkl 2 1 -1, d 4.768, 2θ = 18.61°, I 557
- hkl 1 1 -2, d 4.656, 2θ = 19.06°, I 360
- hkl 0 2 0, d 3.874, 2θ = 22.96°, I 490
- hkl 3 1 -1, d 3.621, 2θ = 24.58°, I 660
- hkl 1 1 -3, d 3.492, 2θ = 25.51°, I 981
- hkl 3 1 0, d 3.431, 2θ = 25.97°, I 698
- hkl 2 2 1, d 2.929, 2θ = 30.52°, I 1000
- hkl 4 1 -1, d 2.843, 2θ = 31.46°, I 558
- hkl 1 1 -4, d 2.727, 2θ = 32.84°, I 507
- hkl 2 2 3, d 2.205, 2θ = 40.93°, I 430

Atomic structure:
```
K3CrC3N3O4
1.0
12.2900 0.0000 0.0000
0.0000 7.7471 0.0000
-4.1922 0.0000 10.9739
K Cr C N O
12 4 12 12 16
Direct
0.0000 0.1043 0.2500
0.0000 0.8957 0.7500
0.1770 0.3539 0.6185
0.1770 0.6461 0.1185
0.3718 0.1491 0.3315
0.3718 0.8509 0.8315
0.5000 0.3691 0.7500
0.5000 0.6309 0.2500
0.6282 0.1491 0.1685
0.6282 0.8509 0.6685
0.8230 0.3539 0.8815
0.8230 0.6461 0.3815
0.2792 0.2654 0.9715
0.2792 0.7346 0.4715
0.7208 0.2654 0.5285
0.7208 0.7346 0.0285
0.1254 0.2334 0.0032
0.1254 0.7666 0.5032
0.2142 0.4953 0.3860
0.2142 0.5047 0.8860
0.3361 0.0242 0.0546
0.3361 0.9758 0.5546
0.6639 0.0242 0.4454
0.6639 0.9758 0.9454
0.7858 0.4953 0.1140
0.7858 0.5047 0.6140
0.8746 0.2334 0.4968
0.8746 0.7666 0.9968
0.0401 0.2200 0.0259
0.0401 0.7800 0.5259
0.1784 0.3627 0.3388
0.1784 0.6373 0.8388
0.3700 0.1119 0.5964
0.3700 0.8881 0.0964
0.6300 0.1119 0.9036
0.6300 0.8881 0.4036
0.8216 0.3627 0.1612
0.8216 0.6373 0.6612
0.9599 0.2200 0.4741
0.9599 0.7800 0.9741
0.2095 0.1463 0.8158
0.2095 0.8537 0.3158
0.3284 0.2031 0.8388
0.3284 0.7969 0.3388
0.3397 0.3741 0.1316
0.3397 0.6259 0.6316
0.4246 0.3677 0.0714
0.4246 0.6323 0.5714
0.5754 0.3677 0.4286
0.5754 0.6323 0.9286
0.6603 0.3741 0.3684
0.6603 0.6259 0.8684
0.6716 0.2031 0.6612
0.6716 0.7969 0.1612
0.7905 0.1463 0.6842
0.7905 0.8537 0.1842
```